For Dy2ZnS4, DFT lattice parameters and positions (GGA-PBE) gives the simulated powder diffraction line list in this record (Cu Kα, 1.54184 Å).
Peak positions follow from Bragg's law for the DFT cell and can differ from measured ones.

Most intense lines, 2θ = 10–90°, by angle:
| 2θ (°) | intensity | (hkl) |
| --- | --- | --- |
| 19.1 | 76 | 1 1 1 |
| 24.2 | 56 | 3 0 1 |
| 26.1 | 48 | 2 2 0 |
| 26.7 | 83 | 3 1 1 |
| 27.4 | 93 | 1 2 1 |
| 38.8 | 100 | 2 2 2 |
| 38.9 | 42 | 4 0 2 |
| 46.3 | 50 | 6 2 0 |

Cell and atoms:
```
Dy2ZnS4
1.0
13.5588 0.0000 0.0000
0.0000 7.9178 0.0000
0.0000 0.0000 6.3352
Dy Zn S
8 4 16
Direct
0.0000 0.0000 0.0000
0.0000 0.5000 0.0000
0.2341 0.2500 0.4951
0.2659 0.7500 0.9951
0.5000 0.0000 0.5000
0.5000 0.5000 0.5000
0.7341 0.2500 0.0049
0.7659 0.7500 0.5049
0.0918 0.7500 0.4105
0.4082 0.2500 0.9105
0.5918 0.7500 0.0895
0.9082 0.2500 0.5895
0.0695 0.2500 0.7432
0.0903 0.7500 0.7745
0.1683 0.5148 0.2442
0.1683 0.9852 0.2442
0.3317 0.0148 0.7442
0.3317 0.4852 0.7442
0.4097 0.2500 0.2745
0.4305 0.7500 0.2432
0.5695 0.2500 0.7568
0.5903 0.7500 0.7255
0.6683 0.5148 0.2558
0.6683 0.9852 0.2558
0.8317 0.0148 0.7558
0.8317 0.4852 0.7558
0.9097 0.2500 0.2255
0.9305 0.7500 0.2568
```

---

For DyZrS, DFT lattice parameters and positions (GGA-PBE) gives the simulated powder diffraction line list in this record (Cu Kα, 1.54184 Å).
Peak positions follow from Bragg's law for the DFT cell and can differ from measured ones.

Most intense lines, 2θ = 10–90°, by angle:
| 2θ (°) | intensity | (hkl) |
| --- | --- | --- |
| 29.8 | 89 | 0 1 2 |
| 30.6 | 28 | 0 0 6 |
| 34.8 | 100 | 1 0 4 |
| 49.5 | 36 | 1 1 0 |
| 50.5 | 33 | 0 1 8 |
| 59.3 | 26 | 1 1 6 |
| 61.9 | 18 | 0 2 4 |
| 83.0 | 16 | 2 1 4 |

Cell and atoms:
```
DyZrS
1.0
3.6848 0.0000 0.0000
-1.8424 3.1911 0.0000
0.0000 0.0000 17.5550
Dy Zr S
3 3 3
Direct
0.0000 0.0000 0.0000
0.3333 0.6667 0.6667
0.6667 0.3333 0.3333
0.0000 0.0000 0.5071
0.3333 0.6667 0.1738
0.6667 0.3333 0.8405
0.0000 0.0000 0.7605
0.3333 0.6667 0.4272
0.6667 0.3333 0.0938
```

---

Copy entry 1 word for word.
For Dy2ZnS4, DFT lattice parameters and positions (GGA-PBE) gives the simulated powder diffraction line list in this record (Cu Kα, 1.54184 Å).
Peak positions follow from Bragg's law for the DFT cell and can differ from measured ones.

Most intense lines, 2θ = 10–90°, by angle:
| 2θ (°) | intensity | (hkl) |
| --- | --- | --- |
| 19.1 | 76 | 1 1 1 |
| 24.2 | 56 | 3 0 1 |
| 26.1 | 48 | 2 2 0 |
| 26.7 | 83 | 3 1 1 |
| 27.4 | 93 | 1 2 1 |
| 38.8 | 100 | 2 2 2 |
| 38.9 | 42 | 4 0 2 |
| 46.3 | 50 | 6 2 0 |

Cell and atoms:
```
Dy2ZnS4
1.0
13.5588 0.0000 0.0000
0.0000 7.9178 0.0000
0.0000 0.0000 6.3352
Dy Zn S
8 4 16
Direct
0.0000 0.0000 0.0000
0.0000 0.5000 0.0000
0.2341 0.2500 0.4951
0.2659 0.7500 0.9951
0.5000 0.0000 0.5000
0.5000 0.5000 0.5000
0.7341 0.2500 0.0049
0.7659 0.7500 0.5049
0.0918 0.7500 0.4105
0.4082 0.2500 0.9105
0.5918 0.7500 0.0895
0.9082 0.2500 0.5895
0.0695 0.2500 0.7432
0.0903 0.7500 0.7745
0.1683 0.5148 0.2442
0.1683 0.9852 0.2442
0.3317 0.0148 0.7442
0.3317 0.4852 0.7442
0.4097 0.2500 0.2745
0.4305 0.7500 0.2432
0.5695 0.2500 0.7568
0.5903 0.7500 0.7255
0.6683 0.5148 0.2558
0.6683 0.9852 0.2558
0.8317 0.0148 0.7558
0.8317 0.4852 0.7558
0.9097 0.2500 0.2255
0.9305 0.7500 0.2568
```